Starting from a structure optimized by DFT (GGA-PBE), the PXRD pattern of NaSr3IrO6 was calculated for λ = 1.5418 Å (Cu Kα).
Neutral-atom scattering factors, no anomalous dispersion.

Main lines, sorted by position (2θ = 10–90°):
d/Å	I/Imax
4.864	21
4.797	89
3.038	53
2.808	100
2.795	20
2.398	24
2.169	29
2.151	33
2.062	36
1.806	25
1.621	18
1.611	21

Structure:
```
data_NaSr3IrO6
_chemical_formula_sum 'Na2 Sr6 Ir2 O12'
_symmetry_space_group_name_H-M 'P 1'
_symmetry_Int_Tables_number 1
_cell_length_a 6.832
_cell_length_b 6.832
_cell_length_c 6.832
_cell_angle_alpha 90.79
_cell_angle_beta 90.79
_cell_angle_gamma 90.79
loop_
_symmetry_equiv_pos_as_xyz
'x,y,z'
loop_
_atom_site_label
_atom_site_fract_x
_atom_site_fract_y
_atom_site_fract_z
Na1 0.250 0.250 0.250
Na2 0.750 0.750 0.750
Sr1 0.108 0.750 0.392
Sr2 0.250 0.608 0.892
Sr3 0.392 0.108 0.750
Sr4 0.608 0.892 0.250
Sr5 0.750 0.392 0.108
Sr6 0.892 0.250 0.608
Ir1 0.000 0.000 0.000
Ir2 0.500 0.500 0.500
O1 0.056 0.923 0.721
O2 0.077 0.279 0.944
O3 0.221 0.423 0.556
O4 0.279 0.944 0.077
O5 0.423 0.556 0.221
O6 0.444 0.779 0.577
O7 0.556 0.221 0.423
O8 0.577 0.444 0.779
O9 0.721 0.056 0.923
O10 0.779 0.577 0.444
O11 0.923 0.721 0.056
O12 0.944 0.077 0.279
```